Computed X-ray powder pattern of Co2PbN2 for Cu Kα (weighted mean of Kα1 and Kα2), from a structure optimized by DFT (GGA-PBE).
Peak positions follow from Bragg's law for the DFT cell and can differ from measured ones.

Crystal structure
Lattice parameters (Å, degrees): 3.2621 3.2621 7.0801 90.00 90.00 120.00
Space group P-3m1 (No. 164)
Inequivalent atoms, fractional coordinates:
Co  0.3333  0.6667  0.3859 x2
Pb  0.0000  0.0000  0.0000 x1
N  0.3333  0.6667  0.6563 x2

Largest 10 diffraction maxima, in order of rising 2θ, 5 to 70 degrees two-theta:
h k l, two_theta, I_rel
0 0 1, 12.50, 18
0 0 2, 25.16, 23
1 0 0, 31.67, 14
0 1 1, 34.17, 100
0 0 3, 38.13, 16
1 0 2, 40.87, 42
0 1 3, 50.38, 16
1 1 0, 56.41, 21
1 0 4, 61.86, 20
2 0 1, 67.63, 14

***

Computed X-ray powder pattern of HgPb2Cl2O2 for Cu Kα (weighted mean of Kα1 and Kα2), from a structure optimized by DFT (GGA-PBE).
Peak positions follow from Bragg's law for the DFT cell and can differ from measured ones.

Crystal structure
Lattice parameters (Å, degrees): 11.984 3.993 7.911 90.00 122.46 90.00
Space group C2/m (No. 12)
Inequivalent atoms, fractional coordinates:
Hg  0.000  0.000  0.000 x2
Pb  0.183  0.000  0.755 x4
Cl  0.067  0.500  0.334 x4
O  0.193  0.000  0.067 x4

Largest 10 diffraction maxima, in order of rising 2θ, 5 to 70 degrees two-theta:
h k l, two_theta, I_rel
0 0 1, 13.26, 34
2 0 -2, 22.72, 34
1 1 0, 23.96, 40
2 0 1, 27.25, 23
1 1 1, 29.75, 100
4 0 -1, 30.35, 51
3 1 -2, 34.18, 100
1 1 -3, 43.08, 26
0 2 0, 45.41, 32
5 1 0, 50.60, 22

***

Computed X-ray powder pattern of Sm2Se2O for Cu Kα (weighted mean of Kα1 and Kα2), from a structure optimized by DFT (GGA-PBE).
Peak positions follow from Bragg's law for the DFT cell and can differ from measured ones.

Crystal structure
Lattice parameters (Å, degrees): 8.780 7.255 7.267 90.00 99.92 90.00
Space group P2_1/c (No. 14)
Inequivalent atoms, fractional coordinates:
Sm  0.073  0.149  0.328 x4
Sm  0.356  0.551  0.246 x4
Se  0.180  0.628  0.571 x4
Se  0.423  0.222  0.470 x4
O  0.114  0.086  0.649 x4

Largest 10 diffraction maxima, in order of rising 2θ, 5 to 70 degrees two-theta:
h k l, two_theta, I_rel
2 1 -1, 25.32, 36
0 2 1, 27.57, 45
0 1 2, 27.79, 41
2 1 1, 28.66, 100
2 2 -1, 33.27, 28
3 1 0, 33.45, 36
3 0 -2, 36.50, 46
2 1 2, 37.38, 37
1 1 -3, 39.41, 39
3 2 -1, 40.22, 39

***

What did the second record say?
Computed X-ray powder pattern of HgPb2Cl2O2 for Cu Kα (weighted mean of Kα1 and Kα2), from a structure optimized by DFT (GGA-PBE).
Peak positions follow from Bragg's law for the DFT cell and can differ from measured ones.

Crystal structure
Lattice parameters (Å, degrees): 11.984 3.993 7.911 90.00 122.46 90.00
Space group C2/m (No. 12)
Inequivalent atoms, fractional coordinates:
Hg  0.000  0.000  0.000 x2
Pb  0.183  0.000  0.755 x4
Cl  0.067  0.500  0.334 x4
O  0.193  0.000  0.067 x4

Largest 10 diffraction maxima, in order of rising 2θ, 5 to 70 degrees two-theta:
h k l, two_theta, I_rel
0 0 1, 13.26, 34
2 0 -2, 22.72, 34
1 1 0, 23.96, 40
2 0 1, 27.25, 23
1 1 1, 29.75, 100
4 0 -1, 30.35, 51
3 1 -2, 34.18, 100
1 1 -3, 43.08, 26
0 2 0, 45.41, 32
5 1 0, 50.60, 22

***

Please write out number 2 again, unchanged.
Computed X-ray powder pattern of HgPb2Cl2O2 for Cu Kα (weighted mean of Kα1 and Kα2), from a structure optimized by DFT (GGA-PBE).
Peak positions follow from Bragg's law for the DFT cell and can differ from measured ones.

Crystal structure
Lattice parameters (Å, degrees): 11.984 3.993 7.911 90.00 122.46 90.00
Space group C2/m (No. 12)
Inequivalent atoms, fractional coordinates:
Hg  0.000  0.000  0.000 x2
Pb  0.183  0.000  0.755 x4
Cl  0.067  0.500  0.334 x4
O  0.193  0.000  0.067 x4

Largest 10 diffraction maxima, in order of rising 2θ, 5 to 70 degrees two-theta:
h k l, two_theta, I_rel
0 0 1, 13.26, 34
2 0 -2, 22.72, 34
1 1 0, 23.96, 40
2 0 1, 27.25, 23
1 1 1, 29.75, 100
4 0 -1, 30.35, 51
3 1 -2, 34.18, 100
1 1 -3, 43.08, 26
0 2 0, 45.41, 32
5 1 0, 50.60, 22